Entry 1:
Sm4InSi4Ni2: theoretical powder X-ray diffraction pattern (λ = 1.5418 Å (Cu Kα)), based on a PBE-relaxed structure.
No peak broadening, texture or thermal motion is included.

Structure:
a b c (Å): 15.561 4.237 7.072
angles (deg): 90.00 108.66 90.00
Space group C2/m (No. 12)
Unique sites:
Sm 0.089 0.000 0.383
Sm 0.156 0.000 0.939
In 0.000 0.500 0.000
Si 0.064 0.500 0.652
Si 0.212 0.500 0.292
Ni 0.213 0.500 0.643

Principal peaks in the range 10 to 80 degrees two-theta, most intense first:
2theta, Rel. int.
34.4, 100
33.4, 82
42.7, 53
36.2, 48
27.8, 43
37.1, 42

Entry 2:
Sm4In20Ni11: theoretical powder X-ray diffraction pattern (λ = 1.5418 Å (Cu Kα)), based on a PBE-relaxed structure.
No peak broadening, texture or thermal motion is included.

Structure:
a b c (Å): 22.777 4.379 16.684
angles (deg): 90.00 124.58 90.00
Space group C2/m (No. 12)
Unique sites:
Sm 0.119 0.000 0.332
Sm 0.228 0.000 0.824
In 0.009 0.000 0.095
In 0.040 0.500 0.378
In 0.064 0.000 0.790
In 0.102 0.500 0.992
In 0.111 0.500 0.690
In 0.114 0.000 0.551
In 0.127 0.500 0.196
In 0.202 0.000 0.003
In 0.203 0.500 0.502
In 0.246 0.000 0.291
Ni 0.000 0.500 0.500
Ni 0.005 0.500 0.194
Ni 0.022 0.000 0.600
Ni 0.134 0.000 0.102
Ni 0.153 0.500 0.880
Ni 0.248 0.500 0.384

Principal peaks in the range 10 to 80 degrees two-theta, most intense first:
2theta, Rel. int.
34.8, 100
41.2, 78
35.6, 45
35.1, 37
34.2, 35
31.3, 26

Entry 3:
Sm4In8Ni7: theoretical powder X-ray diffraction pattern (λ = 1.5418 Å (Cu Kα)), based on a PBE-relaxed structure.
No peak broadening, texture or thermal motion is included.

Structure:
a b c (Å): 14.584 24.023 4.333
angles (deg): 90.00 90.00 90.00
Space group Cmmm (No. 65)
Unique sites:
Sm 0.000 0.105 0.000
Sm 0.172 0.324 0.500
Sm 0.184 0.500 0.500
In 0.000 0.000 0.500
In 0.000 0.222 0.500
In 0.000 0.311 0.000
In 0.000 0.413 0.500
In 0.000 0.500 0.000
In 0.160 0.217 0.000
In 0.225 0.094 0.000
Ni 0.097 0.405 0.000
Ni 0.122 0.000 0.000
Ni 0.138 0.154 0.500
Ni 0.145 0.054 0.500

Principal peaks in the range 10 to 80 degrees two-theta, most intense first:
2theta, Rel. int.
33.4, 100
41.7, 43
32.8, 32
37.4, 27
30.4, 24
41.8, 23

Entry 4:
SmInNi5: theoretical powder X-ray diffraction pattern (λ = 1.5418 Å (Cu Kα)), based on a PBE-relaxed structure.
No peak broadening, texture or thermal motion is included.

Structure:
a b c (Å): 4.8830 4.8830 29.6455
angles (deg): 90.00 90.00 120.00
Space group R-3m (No. 166, hexagonal axes)
Unique sites:
Sm 0.0000 0.0000 0.0000
Sm 0.0000 0.0000 0.5000
In 0.0000 0.0000 0.1101
Ni 0.0000 0.0000 0.1980
Ni 0.0000 0.0000 0.3336
Ni 0.0021 0.5010 0.0682

Principal peaks in the range 10 to 80 degrees two-theta, most intense first:
2theta, Rel. int.
36.8, 100
37.0, 82
41.2, 71
32.1, 57
46.3, 55
42.9, 38

Entry 5:
SrIn2Ni2: theoretical powder X-ray diffraction pattern (λ = 1.5418 Å (Cu Kα)), based on a PBE-relaxed structure.
No peak broadening, texture or thermal motion is included.

Structure:
a b c (Å): 4.446 4.446 10.787
angles (deg): 90.00 90.00 90.00
Space group I4/mmm (No. 139)
Unique sites:
Sr 0.000 0.000 0.000
In 0.000 0.500 0.250
Ni 0.000 0.000 0.391

Principal peaks in the range 10 to 80 degrees two-theta, most intense first:
2theta, Rel. int.
33.0, 100
40.6, 48
44.2, 25
69.0, 22
32.0, 20
16.4, 16

Entry 6:
TbIn2Ni9: theoretical powder X-ray diffraction pattern (λ = 1.5418 Å (Cu Kα)), based on a PBE-relaxed structure.
No peak broadening, texture or thermal motion is included.

Structure:
a b c (Å): 8.224 8.224 4.817
angles (deg): 90.00 90.00 90.00
Space group P4/mbm (No. 127)
Unique sites:
Tb 0.000 0.000 0.000
In 0.125 0.375 0.000
Ni 0.000 0.500 0.500
Ni 0.063 0.206 0.500
Ni 0.176 0.676 0.248

Principal peaks in the range 10 to 80 degrees two-theta, most intense first:
2theta, Rel. int.
39.4, 100
45.0, 67
43.9, 36
45.5, 29
43.5, 28
34.5, 26

Entry 7:
TbTmIn2Ni4: theoretical powder X-ray diffraction pattern (λ = 1.5418 Å (Cu Kα)), based on a PBE-relaxed structure.
No peak broadening, texture or thermal motion is included.

Structure:
a b c (Å): 3.987 5.074 6.977
angles (deg): 90.00 90.00 90.00
Space group Pmm2 (No. 25)
Unique sites:
Tb 0.000 0.000 0.000
Tm 0.000 0.500 0.532
In 0.500 0.000 0.624
In 0.500 0.500 0.909
Ni 0.000 0.000 0.382
Ni 0.000 0.500 0.155
Ni 0.500 0.252 0.270

Principal peaks in the range 10 to 80 degrees two-theta, most intense first:
2theta, Rel. int.
31.3, 100
38.6, 57
45.5, 33
42.8, 33
34.2, 32
35.4, 32

Entry 8:
TbYIn2Ni4: theoretical powder X-ray diffraction pattern (λ = 1.5418 Å (Cu Kα)), based on a PBE-relaxed structure.
No peak broadening, texture or thermal motion is included.

Structure:
a b c (Å): 3.998 5.090 6.993
angles (deg): 90.00 90.00 90.00
Space group Pmm2 (No. 25)
Unique sites:
Tb 0.000 0.000 0.000
Y 0.000 0.500 0.540
In 0.500 0.000 0.621
In 0.500 0.500 0.916
Ni 0.000 0.000 0.380
Ni 0.000 0.500 0.158
Ni 0.500 0.250 0.269

Principal peaks in the range 10 to 80 degrees two-theta, most intense first:
2theta, Rel. int.
31.2, 100
38.5, 81
45.4, 40
44.1, 37
35.3, 34
42.7, 32